Diffraction record for NaMg3. The X-ray powder pattern is theoretical, not measured: it uses the GGA-PBE geometry in the Materials Project and Cu Kα.
Kinematic intensities with the Lorentz-polarization factor, no thermal factor.

Largest 10 diffraction maxima, by angle, 15° ≤ 2θ ≤ 90°:
hkl  two_theta  d_spacing  Rel. int.
1 0 1  32.10  2.789  27.5
0 2 0  32.96  2.717  45.4
0 1 2  34.55  2.596  64.0
1 1 1  36.20  2.481  100.0
1 2 1  46.67  1.946  18.5
1 0 3  54.91  1.672  19.1
0 3 2  59.89  1.544  12.0
1 3 1  60.99  1.519  20.1
1 2 3  65.53  1.424  28.0
2 1 2  69.61  1.351  14.6

```
NaMg3
1.0
3.163 0.000 0.000
0.000 5.434 0.000
0.000 0.000 5.909
Na Mg
1 3
Direct
0.000 0.000 0.000 Na
0.000 0.500 0.668 Mg
0.500 0.000 0.501 Mg
0.500 0.500 0.190 Mg
```